# 1
Diffraction record for Hg4RhW. The powder diffractogram is calculated, not measured: it uses a crystal structure in Alexandria, relaxed with GGA-PBE and Cu Kα.

Structural model:
Cell lengths 7.880, 7.880, 7.880 Å; angles 90.00, 90.00, 90.00 degrees
Space group F-43m (No. 216)
One atom of each set of equivalent atoms:
Hg  0.125  0.125  0.125 [16 per cell]
Rh  0.000  0.000  0.500 [4 per cell]
W  0.250  0.250  0.750 [4 per cell]

Most intense lines, 10° ≤ 2θ ≤ 90°, by angle:
| 2theta | I (rel.) | index |
| --- | --- | --- |
| 19.51 | 19 | 1 1 1 |
| 32.13 | 17 | 2 2 0 |
| 37.87 | 100 | 3 1 1 |
| 39.62 | 52 | 2 2 2 |
| 46.08 | 11 | 4 0 0 |
| 57.28 | 7 | 4 2 2 |
| 61.11 | 33 | 5 1 1 |
| 67.21 | 31 | 4 4 0 |
| 79.81 | 12 | 5 3 3 |
| 80.93 | 21 | 6 2 2 |

=====

# 2
Diffraction record for Pr2DyAg2Sn2. The powder diffractogram is calculated, not measured: it uses a crystal structure in Alexandria, relaxed with GGA-PBE and Cu Kα.

Structural model:
Cell lengths 4.8253, 4.8253, 28.2240 Å; angles 90.00, 90.00, 120.00 degrees
Space group R-3m (No. 166, hexagonal axes)
One atom of each set of equivalent atoms:
Pr  0.0000  0.0000  0.1266 [6 per cell]
Dy  0.0000  0.0000  0.0000 [3 per cell]
Ag  0.0000  0.0000  0.3895 [6 per cell]
Sn  0.0000  0.0000  0.2656 [6 per cell]

Most intense lines, 10° ≤ 2θ ≤ 90°, by angle:
| 2theta | I (rel.) | index |
| --- | --- | --- |
| 30.82 | 49 | 1 0 7 |
| 33.23 | 100 | 0 1 8 |
| 37.27 | 100 | 1 1 0 |
| 49.11 | 14 | 0 2 7 |
| 50.78 | 30 | 2 0 8 |
| 62.61 | 30 | 1 1 15 |
| 64.66 | 29 | 1 2 8 |
| 67.21 | 18 | 3 0 0 |
| 81.83 | 13 | 0 1 23 |
| 88.88 | 13 | 3 1 8 |

=====

# 3
Diffraction record for Pa3TeS5. The powder diffractogram is calculated, not measured: it uses a crystal structure in Alexandria, relaxed with GGA-PBE and Cu Kα.

Structural model:
Cell lengths 12.737, 8.878, 10.155 Å; angles 90.00, 114.54, 90.00 degrees
Space group C2/m (No. 12)
One atom of each set of equivalent atoms:
Pa  0.000  0.000  0.000 [2 per cell]
Pa  0.000  0.000  0.500 [2 per cell]
Pa  0.133  0.500  0.180 [4 per cell]
Pa  0.171  0.500  0.667 [4 per cell]
Te  0.131  0.000  0.821 [4 per cell]
S  0.000  0.307  0.500 [4 per cell]
S  0.093  0.500  0.886 [4 per cell]
S  0.155  0.195  0.180 [8 per cell]
S  0.227  0.000  0.528 [4 per cell]

Most intense lines, 10° ≤ 2θ ≤ 90°, by angle:
| 2theta | I (rel.) | index |
| --- | --- | --- |
| 18.96 | 63 | 2 0 -2 |
| 20.00 | 100 | 0 2 0 |
| 25.15 | 45 | 3 1 0 |
| 25.59 | 70 | 1 1 2 |
| 27.69 | 25 | 2 2 -2 |
| 36.86 | 30 | 5 1 -2 |
| 37.81 | 36 | 1 1 -4 |
| 38.32 | 24 | 3 3 0 |
| 38.63 | 35 | 1 3 2 |
| 48.01 | 39 | 1 3 -4 |

=====

# 4
Diffraction record for Tm3ThBi4. The powder diffractogram is calculated, not measured: it uses a crystal structure in Alexandria, relaxed with GGA-PBE and Cu Kα.

Structural model:
Cell lengths 8.944, 12.655, 4.485 Å; angles 90.00, 90.00, 90.00 degrees
Space group Cmmm (No. 65)
One atom of each set of equivalent atoms:
Tm  0.000  0.000  0.000 [2 per cell]
Tm  0.250  0.250  0.500 [4 per cell]
Th  0.000  0.500  0.000 [2 per cell]
Bi  0.000  0.246  0.000 [4 per cell]
Bi  0.241  0.000  0.500 [4 per cell]

Most intense lines, 10° ≤ 2θ ≤ 90°, by angle:
| 2theta | I (rel.) | index |
| --- | --- | --- |
| 28.19 | 100 | 2 0 1 |
| 40.28 | 65 | 0 0 2 |
| 40.34 | 13 | 4 0 0 |
| 49.85 | 14 | 0 4 2 |
| 49.95 | 14 | 4 4 0 |
| 58.29 | 13 | 0 8 0 |
| 65.88 | 6 | 2 0 3 |
| 66.01 | 31 | 4 4 2 |
| 73.17 | 14 | 2 4 3 |
| 73.31 | 14 | 4 8 0 |

=====

# 5
Diffraction record for AlZn3Au2. The powder diffractogram is calculated, not measured: it uses a crystal structure in Alexandria, relaxed with GGA-PBE and Cu Kα.

Structural model:
Cell lengths 13.279, 7.483, 4.479 Å; angles 90.00, 90.00, 90.00 degrees
Space group Cmcm (No. 63)
One atom of each set of equivalent atoms:
Al  0.000  0.203  0.250 [4 per cell]
Zn  0.000  0.431  0.750 [4 per cell]
Zn  0.219  0.179  0.250 [8 per cell]
Au  0.113  0.135  0.750 [8 per cell]

Most intense lines, 10° ≤ 2θ ≤ 90°, by angle:
| 2theta | I (rel.) | index |
| --- | --- | --- |
| 13.58 | 59 | 1 1 0 |
| 23.35 | 39 | 3 1 0 |
| 24.11 | 57 | 1 1 1 |
| 31.15 | 16 | 0 2 1 |
| 36.66 | 24 | 1 3 0 |
| 40.27 | 38 | 0 0 2 |
| 41.32 | 49 | 5 1 1 |
| 41.58 | 100 | 4 2 1 |
| 42.01 | 23 | 1 3 1 |
| 74.09 | 17 | 4 2 3 |

=====

# 6
Diffraction record for ZnSn2O4. The powder diffractogram is calculated, not measured: it uses a crystal structure in Alexandria, relaxed with GGA-PBE and Cu Kα.

Structural model:
Cell lengths 6.373, 7.230, 8.768 Å; angles 90.00, 90.00, 90.00 degrees
Space group Imma (No. 74)
One atom of each set of equivalent atoms:
Zn  0.000  0.000  0.000 [4 per cell]
Sn  0.000  0.250  0.356 [4 per cell]
Sn  0.250  0.250  0.750 [4 per cell]
O  0.000  0.056  0.768 [8 per cell]
O  0.237  0.250  0.987 [8 per cell]

Most intense lines, 10° ≤ 2θ ≤ 90°, by angle:
| 2theta | I (rel.) | index |
| --- | --- | --- |
| 24.63 | 37 | 0 2 0 |
| 27.61 | 51 | 1 1 2 |
| 30.19 | 60 | 1 2 1 |
| 32.09 | 32 | 0 2 2 |
| 32.35 | 100 | 2 1 1 |
| 33.06 | 33 | 0 1 3 |
| 33.74 | 31 | 1 0 3 |
| 48.48 | 47 | 2 3 1 |
| 50.51 | 29 | 0 4 0 |
| 57.00 | 55 | 2 2 4 |

=====

# 7
Diffraction record for Tb2RuBr. The powder diffractogram is calculated, not measured: it uses a crystal structure in Alexandria, relaxed with GGA-PBE and Cu Kα.

Structural model:
Cell lengths 7.339, 3.601, 8.305 Å; angles 90.00, 107.23, 90.00 degrees
Space group C2/m (No. 12)
One atom of each set of equivalent atoms:
Tb  0.228  0.000  0.303 [4 per cell]
Ru  0.000  0.000  0.500 [2 per cell]
Br  0.000  0.500  0.000 [2 per cell]

Most intense lines, 10° ≤ 2θ ≤ 90°, by angle:
| 2theta | I (rel.) | index |
| --- | --- | --- |
| 11.15 | 36 | 0 0 1 |
| 28.56 | 41 | 2 0 -2 |
| 31.51 | 100 | 1 1 1 |
| 33.50 | 15 | 1 1 -2 |
| 35.98 | 15 | 2 0 -3 |
| 39.01 | 26 | 2 0 2 |
| 41.23 | 20 | 1 1 -3 |
| 44.79 | 26 | 3 1 -1 |
| 46.29 | 14 | 3 1 -2 |
| 50.69 | 17 | 0 2 0 |

=====

# 8
Diffraction record for CsAg3Cl6. The powder diffractogram is calculated, not measured: it uses a crystal structure in Alexandria, relaxed with GGA-PBE and Cu Kα.

Structural model:
Cell lengths 7.019, 7.114, 7.393 Å; angles 96.16, 112.31, 117.45 degrees
Space group P1 (No. 1)
One atom of each set of equivalent atoms:
Cs  0.000  0.000  0.000 [1 per cell]
Ag  0.123  0.585  0.652 [1 per cell]
Ag  0.471  0.249  0.691 [1 per cell]
Ag  0.525  0.747  0.258 [1 per cell]
Cl  0.069  0.192  0.497 [1 per cell]
Cl  0.346  0.852  0.472 [1 per cell]
Cl  0.461  0.947  0.015 [1 per cell]
Cl  0.540  0.512  0.997 [1 per cell]
Cl  0.683  0.582  0.493 [1 per cell]
Cl  0.910  0.408  0.870 [1 per cell]

Most intense lines, 10° ≤ 2θ ≤ 90°, by angle:
| 2theta | I (rel.) | index |
| --- | --- | --- |
| 22.21 | 78 | 1 -1 1 |
| 23.67 | 78 | 0 1 1 |
| 24.27 | 100 | 1 1 -1 |
| 24.39 | 55 | 1 0 -2 |
| 25.18 | 62 | 1 -2 0 |
| 25.59 | 64 | -2 1 1 |
| 32.91 | 43 | 2 0 0 |
| 33.35 | 54 | 0 2 -2 |
| 37.24 | 38 | -2 2 2 |
| 41.83 | 39 | 2 -3 1 |

=====

# 9
Diffraction record for NbNi3Pt4. The powder diffractogram is calculated, not measured: it uses a crystal structure in Alexandria, relaxed with GGA-PBE and Cu Kα.

Structural model:
Cell lengths 3.892, 3.892, 15.004 Å; angles 90.00, 90.00, 90.00 degrees
Space group I4/mmm (No. 139)
One atom of each set of equivalent atoms:
Nb  0.000  0.000  0.000 [2 per cell]
Ni  0.000  0.000  0.253 [4 per cell]
Ni  0.000  0.000  0.500 [2 per cell]
Pt  0.000  0.500  0.127 [8 per cell]

Most intense lines, 10° ≤ 2θ ≤ 90°, by angle:
| 2theta | I (rel.) | index |
| --- | --- | --- |
| 23.72 | 20 | 0 0 4 |
| 32.53 | 18 | 1 1 0 |
| 40.66 | 100 | 1 1 4 |
| 46.67 | 34 | 2 0 0 |
| 48.54 | 15 | 0 0 8 |
| 68.14 | 11 | 2 2 0 |
| 69.62 | 20 | 2 0 8 |
| 82.48 | 26 | 3 1 4 |
| 85.25 | 12 | 1 1 12 |
| 88.03 | 11 | 2 2 8 |

=====

# 10
Diffraction record for BC2. The powder diffractogram is calculated, not measured: it uses a crystal structure in Alexandria, relaxed with GGA-PBE and Cu Kα.

Structural model:
Cell lengths 13.694, 2.494, 4.702 Å; angles 90.00, 107.96, 90.00 degrees
Space group Cm (No. 8)
One atom of each set of equivalent atoms:
B  0.000  0.000  0.000 [2 per cell]
B  0.057  0.500  0.270 [2 per cell]
B  0.218  0.000  0.581 [2 per cell]
B  0.386  0.000  0.420 [2 per cell]
C  0.013  0.500  0.552 [2 per cell]
C  0.054  0.000  0.733 [2 per cell]
C  0.174  0.000  0.869 [2 per cell]
C  0.178  0.500  0.346 [2 per cell]
C  0.215  0.500  0.069 [2 per cell]
C  0.335  0.500  0.171 [2 per cell]
C  0.346  0.000  0.711 [2 per cell]
C  0.374  0.500  0.900 [2 per cell]

Most intense lines, 10° ≤ 2θ ≤ 90°, by angle:
| 2theta | I (rel.) | index |
| --- | --- | --- |
| 27.44 | 10 | 2 0 1 |
| 41.33 | 49 | 4 0 -2 |
| 41.60 | 52 | 6 0 0 |
| 43.12 | 100 | 1 1 1 |
| 71.07 | 27 | 3 1 -3 |
| 71.45 | 26 | 7 1 1 |
| 71.73 | 13 | 10 0 -2 |
| 76.38 | 12 | 0 2 0 |
| 87.33 | 9 | 9 1 -3 |
| 87.69 | 8 | 11 1 -1 |

=====

# 11
Diffraction record for Ca2Cu3As4Au. The powder diffractogram is calculated, not measured: it uses a crystal structure in Alexandria, relaxed with GGA-PBE and Cu Kα.

Structural model:
Cell lengths 4.299, 4.299, 10.312 Å; angles 90.00, 90.00, 90.00 degrees
Space group P-4m2 (No. 115)
One atom of each set of equivalent atoms:
Ca  0.000  0.500  0.250 [2 per cell]
Cu  0.000  0.000  0.000 [1 per cell]
Cu  0.000  0.500  0.625 [2 per cell]
As  0.000  0.000  0.500 [1 per cell]
As  0.000  0.500  0.855 [2 per cell]
As  0.500  0.500  0.500 [1 per cell]
Au  0.500  0.500  0.000 [1 per cell]

Most intense lines, 10° ≤ 2θ ≤ 90°, by angle:
| 2theta | I (rel.) | index |
| --- | --- | --- |
| 17.20 | 39 | 0 0 2 |
| 22.41 | 33 | 1 0 1 |
| 33.38 | 28 | 1 0 3 |
| 34.24 | 100 | 1 1 2 |
| 42.03 | 60 | 2 0 0 |
| 46.17 | 54 | 1 1 4 |
| 48.99 | 15 | 1 0 5 |
| 60.95 | 19 | 2 2 0 |
| 71.81 | 22 | 3 1 2 |
| 79.74 | 22 | 3 1 4 |

=====

# 12
Diffraction record for Mn2Pd2Pt5. The powder diffractogram is calculated, not measured: it uses a crystal structure in Alexandria, relaxed with GGA-PBE and Cu Kα.

Structural model:
Cell lengths 12.033, 9.278, 5.326 Å; angles 90.00, 90.00, 90.00 degrees
Space group Ima2 (No. 46)
One atom of each set of equivalent atoms:
Mn  0.000  0.000  0.000 [4 per cell]
Mn  0.250  0.004  0.852 [4 per cell]
Pd  0.119  0.004  0.441 [8 per cell]
Pt  0.056  0.733  0.280 [8 per cell]
Pt  0.141  0.217  0.063 [8 per cell]
Pt  0.250  0.744  0.038 [4 per cell]

Most intense lines, 10° ≤ 2θ ≤ 90°, by angle:
| 2theta | I (rel.) | index |
| --- | --- | --- |
| 19.13 | 70 | 0 2 0 |
| 35.62 | 13 | 4 1 1 |
| 36.91 | 17 | 2 0 2 |
| 38.65 | 61 | 5 1 0 |
| 38.83 | 44 | 0 4 0 |
| 39.00 | 12 | 0 2 2 |
| 41.88 | 100 | 3 1 2 |
| 45.38 | 22 | 4 3 1 |
| 47.90 | 27 | 5 3 0 |
| 50.64 | 27 | 3 3 2 |